The following is a calculated powder diffractogram of Nd8Y3Th. It was derived from a structure optimized by DFT (GGA-PBE), using Cu Kα, 1.54184 Å.
Peak positions follow from Bragg's law for the DFT cell and can differ from measured ones.

Cell and atoms:
```
data_Nd8Y3Th
_cell_length_a 6.579
_cell_length_b 11.504
_cell_length_c 11.708
_cell_angle_alpha 90.00
_cell_angle_beta 90.00
_cell_angle_gamma 90.00
_space_group_name_H-M_alt 'I 2 2 2'
_space_group_IT_number 23
loop_
_space_group_symop_operation_xyz
'x,y,z'
'-x,-y,z'
'x,-y,-z'
'-x,y,-z'
'x+1/2,y+1/2,z+1/2'
'-x+1/2,-y+1/2,z+1/2'
'x+1/2,-y+1/2,-z+1/2'
'-x+1/2,y+1/2,-z+1/2'
loop_
_atom_site_label
_atom_site_type_symbol
_atom_site_fract_x
_atom_site_fract_y
_atom_site_fract_z
_atom_site_occupancy
Nd1 Nd 0.004 0.163 0.251 1
Nd2 Nd 0.248 0.253 0.482 1
Y1 Y 0.000 0.000 0.000 1
Y2 Y 0.000 0.500 0.226 1
Th1 Th 0.000 0.000 0.500 1
```

Most intense lines, 2θ from 5° to 70°, most intense first:
2θ 31.03, intensity 100, hkl 1 3 2
2θ 34.96, intensity 54, hkl 2 2 2
2θ 30.54, intensity 49, hkl 0 0 4
2θ 31.19, intensity 38, hkl 2 0 2
2θ 15.52, intensity 37, hkl 1 1 0
2θ 34.76, intensity 30, hkl 0 4 2
2θ 31.32, intensity 25, hkl 2 2 0
2θ 50.41, intensity 23, hkl 3 3 2